# Na2GaAgI6
Computed X-ray powder pattern, Cu Kα (λ = 1.5418 Å). Input: a structure optimized by DFT (PBE).
Neutral-atom scattering factors, no anomalous dispersion.

Largest 6 diffraction maxima, by angle, 10° ≤ 2θ ≤ 80°:
index  2theta  I_rel
2 0 0  15.3  85.0
2 2 2  26.6  75.8
4 0 0  30.9  100.0
4 2 0  34.6  45.1
4 4 0  44.2  72.7
6 2 2  52.4  33.8

Structural model:
Cell: 11.592 11.592 11.592 Å, 90.00 90.00 90.00°
Space group Fm-3m (No. 225)
One atom of each set of equivalent atoms:
1 Na 0.250 0.250 0.250 [8 per cell]
2 Ga 0.000 0.000 0.000 [4 per cell]
3 Ag 0.000 0.000 0.500 [4 per cell]
4 I 0.000 0.000 0.245 [24 per cell]

=====

# Rb2GaAgI6
Computed X-ray powder pattern, Cu Kα (λ = 1.5418 Å). Input: a structure optimized by DFT (PBE).
Neutral-atom scattering factors, no anomalous dispersion.

Largest 6 diffraction maxima, by angle, 10° ≤ 2θ ≤ 80°:
index  2theta  I_rel
2 0 0  15.1  31.1
2 2 2  26.3  86.3
4 0 0  30.5  100.0
4 4 0  43.7  72.9
6 2 2  51.7  38.7
8 4 0  72.0  31.8

Structural model:
Cell: 11.727 11.727 11.727 Å, 90.00 90.00 90.00°
Space group Fm-3m (No. 225)
One atom of each set of equivalent atoms:
1 Rb 0.250 0.250 0.250 [8 per cell]
2 Ga 0.000 0.000 0.000 [4 per cell]
3 Ag 0.000 0.000 0.500 [4 per cell]
4 I 0.000 0.000 0.244 [24 per cell]

=====

# InGaAg2S4
Computed X-ray powder pattern, Cu Kα (λ = 1.5418 Å). Input: a structure optimized by DFT (PBE).
Neutral-atom scattering factors, no anomalous dispersion.

Largest 6 diffraction maxima, by angle, 10° ≤ 2θ ≤ 80°:
index  2theta  I_rel
1 1 2  26.9  100.0
2 0 0  30.6  15.3
2 2 0  43.8  20.1
2 0 4  45.2  36.1
3 1 2  52.1  29.9
1 1 6  54.6  13.0

Structural model:
Cell: 5.852 5.852 11.032 Å, 90.00 90.00 90.00°
Space group I-4 (No. 82)
One atom of each set of equivalent atoms:
1 In 0.000 0.000 0.000 [2 per cell]
2 Ga 0.000 0.500 0.750 [2 per cell]
3 Ag 0.000 0.000 0.500 [2 per cell]
4 Ag 0.000 0.500 0.250 [2 per cell]
5 S 0.227 0.265 0.868 [8 per cell]